Starting from a cell relaxed with PBE, the powder XRD pattern of NaSm9Si6S2O24 was calculated for Cu Kα.
Lines closer than 0.1° are merged.

Main lines, in order of rising 2θ (2θ = 5–70°):
d (Å)  I (rel.)
3.997  39
3.250  28
2.927  100
2.866  37
2.788  62
1.999  29

Structure:
Cell: 9.9290 9.9290 6.7393 Å, 90.00 90.00 120.00°
Fractional positions:
Na 0.0000 0.0000 0.0000
Sm 0.0000 0.0000 0.5166
Sm 0.0791 0.6526 0.7577
Sm 0.1015 0.4094 0.2533
Sm 0.3079 0.8985 0.2533
Sm 0.3474 0.4265 0.7577
Sm 0.5735 0.9209 0.7577
Sm 0.5906 0.6921 0.2533
Sm 0.6667 0.3333 0.0111
Sm 0.6667 0.3333 0.5044
Si 0.3023 0.2475 0.2583
Si 0.3638 0.0756 0.7542
Si 0.7117 0.6362 0.7542
Si 0.7525 0.0548 0.2583
Si 0.9244 0.2883 0.7542
Si 0.9452 0.6977 0.2583
S 0.3333 0.6667 0.5018
S 0.3333 0.6667 0.9959
O 0.0617 0.7572 0.4539
O 0.0675 0.7441 0.0721
O 0.1786 0.0017 0.7478
O 0.2004 0.0571 0.2622
O 0.2428 0.3045 0.4539
O 0.2559 0.3233 0.0721
O 0.4306 0.0269 0.9512
O 0.4351 0.0275 0.5609
O 0.4665 0.2699 0.7576
O 0.4884 0.3064 0.2582
O 0.5924 0.5649 0.5609
O 0.5963 0.5694 0.9512
O 0.6767 0.9325 0.0721
O 0.6936 0.1819 0.2582
O 0.6955 0.9383 0.4539
O 0.7301 0.1966 0.7576
O 0.8034 0.5335 0.7576
O 0.8181 0.5116 0.2582
O 0.8231 0.8214 0.7478
O 0.8567 0.7996 0.2622
O 0.9429 0.1433 0.2622
O 0.9731 0.4037 0.9512
O 0.9725 0.4076 0.5609
O 0.9983 0.1769 0.7478